The following is a simulated powder diffractogram of NiAg4Ru. It was derived from a structure optimized by DFT (PBE), using Cu Ka.

```
NiAg4Ru
1.0
0.0000 3.7596 3.7596
3.7596 0.0000 3.7596
3.7596 3.7596 0.0000
Ni Ag Ru
1 4 1
Cartesian
0.0000 0.0000 0.0000
4.7000 2.8191 2.8191
2.8191 4.7000 2.8191
2.8191 2.8191 4.7000
4.7000 4.7000 4.7000
1.8798 1.8798 1.8798
```

Top 8 peaks for 2θ = 5–70°, by angle:
- 4.341 Å, 20.46°, I = 18.5
- 2.658 Å, 33.71°, I = 19.0
- 2.267 Å, 39.76°, I = 100.0
- 2.171 Å, 41.61°, I = 49.9
- 1.880 Å, 48.42°, I = 9.1
- 1.725 Å, 53.09°, I = 4.1
- 1.535 Å, 60.30°, I = 6.7
- 1.447 Å, 64.38°, I = 30.1